Simulated X-ray powder pattern
Compound: Mn3As2O8
Radiation: Cu Kα, 1.54184 Å
Structure: a PBE+U-relaxed structure
Kinematic intensities with the Lorentz-polarization factor, no thermal factor.

Cell and atoms:
a b c (Å): 6.7200 6.7200 8.5612
angles (deg): 90.00 90.00 123.43
Fractional positions:
Mn1 0.0000 0.0000 0.0000
Mn2 0.1072 0.3928 0.2500
Mn3 0.3928 0.1072 0.7500
Mn4 0.5000 0.5000 0.5000
Mn5 0.6072 0.8928 0.2500
Mn6 0.8928 0.6072 0.7500
As1 0.1184 0.8816 0.3854
As2 0.3816 0.6184 0.8854
As3 0.6184 0.3816 0.1146
As4 0.8816 0.1184 0.6146
O1 0.0022 0.9978 0.2546
O2 0.1065 0.3432 0.5024
O3 0.1568 0.3935 0.9976
O4 0.2409 0.7591 0.2760
O5 0.2591 0.7409 0.7760
O6 0.3432 0.1065 0.4976
O7 0.3935 0.1568 0.0024
O8 0.4978 0.5022 0.7546
O9 0.5022 0.4978 0.2454
O10 0.6065 0.8432 0.9976
O11 0.6568 0.8935 0.5024
O12 0.7409 0.2591 0.2240
O13 0.7591 0.2409 0.7240
O14 0.8432 0.6065 0.0024
O15 0.8935 0.6568 0.4976
O16 0.9978 0.0022 0.7454

Peak list (10 most intense, 2θ = 10–80°, by angle)
| 2θ/deg | intensity |
| --- | --- |
| 26.19 | 55.7 |
| 28.59 | 60.6 |
| 30.21 | 28.3 |
| 33.63 | 100.0 |
| 33.96 | 25.8 |
| 34.91 | 54.6 |
| 35.29 | 25.2 |
| 42.07 | 29.0 |
| 55.88 | 21.1 |
| 60.82 | 58.6 |